# 1
Starting from a structure optimized by DFT (GGA-PBE), the powder XRD pattern of TlGa2I4 was computed for copper Kα.
No peak broadening, texture or thermal motion is included.

The 6 most intense peaks (2θ from 15° to 90°), low angle first:
- 23.36°, I 25
- 24.70°, I 100
- 27.58°, I 31
- 39.10°, I 51
- 41.88°, I 30
- 42.43°, I 26

Atomic structure:
```
TlGa2I4
1.0
9.148 0.000 0.000
0.000 9.148 0.000
0.000 0.000 7.616
Tl Ga I
2 4 8
direct
0.000 0.000 0.000
0.500 0.500 0.500
0.000 0.500 0.250
0.000 0.500 0.750
0.500 0.000 0.250
0.500 0.000 0.750
0.168 0.692 0.500
0.192 0.332 0.000
0.308 0.168 0.500
0.332 0.808 0.000
0.668 0.192 0.000
0.692 0.832 0.500
0.808 0.668 0.000
0.832 0.308 0.500
```

***

# 2
Starting from a structure optimized by DFT (GGA-PBE), the powder XRD pattern of KNiP2S was computed for copper Kα.
No peak broadening, texture or thermal motion is included.

The 6 most intense peaks (2θ from 15° to 90°), low angle first:
- 20.17°, I 57
- 26.50°, I 90
- 33.53°, I 45
- 34.42°, I 85
- 41.00°, I 100
- 54.57°, I 80

Atomic structure:
```
KNiP2S
1.0
4.403 0.000 0.000
0.000 4.403 0.000
0.000 0.000 5.211
K Ni P S
1 1 2 1
direct
0.000 0.000 0.000
0.500 0.500 0.500
0.000 0.500 0.500
0.500 0.000 0.500
0.500 0.500 0.000
```

***

# 3
Starting from a structure optimized by DFT (GGA-PBE), the powder XRD pattern of InNi3H was computed for copper Kα.
No peak broadening, texture or thermal motion is included.

The 6 most intense peaks (2θ from 15° to 90°), low angle first:
- 38.94°, I 25
- 39.28°, I 26
- 41.60°, I 67
- 43.11°, I 100
- 44.38°, I 73
- 44.68°, I 70

Atomic structure:
```
InNi3H
1.0
7.076 0.000 0.000
0.000 4.342 0.000
-6.426 0.000 7.116
In Ni H
4 12 4
direct
0.248 0.231 0.304
0.248 0.269 0.804
0.752 0.731 0.196
0.752 0.769 0.696
0.004 0.246 0.427
0.004 0.254 0.927
0.252 0.731 0.467
0.252 0.769 0.967
0.498 0.249 0.673
0.498 0.251 0.173
0.502 0.749 0.827
0.502 0.751 0.327
0.748 0.231 0.033
0.748 0.269 0.533
0.996 0.746 0.073
0.996 0.754 0.573
0.250 0.559 0.109
0.250 0.941 0.609
0.750 0.059 0.391
0.750 0.441 0.891
```

***

# 4
Starting from a structure optimized by DFT (GGA-PBE), the powder XRD pattern of Sc8Ru2Se was computed for copper Kα.
No peak broadening, texture or thermal motion is included.

The 6 most intense peaks (2θ from 15° to 90°), low angle first:
- 17.13°, I 59
- 33.28°, I 70
- 34.67°, I 62
- 35.61°, I 48
- 37.89°, I 93
- 41.66°, I 100

Atomic structure:
```
Sc8Ru2Se
1.0
3.897 -5.975 0.000
3.897 5.975 0.000
-1.966 0.000 5.176
Sc Ru Se
8 2 1
direct
0.000 0.000 0.000
0.023 0.288 0.583
0.153 0.591 0.183
0.288 0.023 0.583
0.454 0.715 0.785
0.591 0.153 0.183
0.715 0.454 0.785
0.748 0.748 0.379
0.064 0.687 0.702
0.687 0.064 0.702
0.367 0.367 0.371
```

***

# 5
Starting from a structure optimized by DFT (GGA-PBE), the powder XRD pattern of Pm2IBr2 was computed for copper Kα.
No peak broadening, texture or thermal motion is included.

The 6 most intense peaks (2θ from 15° to 90°), low angle first:
- 26.43°, I 100
- 30.83°, I 37
- 32.12°, I 25
- 34.43°, I 59
- 45.12°, I 30
- 46.07°, I 28

Atomic structure:
```
Pm2IBr2
1.0
-3.940 3.940 5.800
3.940 -3.940 5.800
3.940 3.940 -5.800
Pm I Br
4 2 4
direct
0.251 0.000 0.251
0.749 0.000 0.749
0.750 0.501 0.751
0.750 0.999 0.249
0.297 0.797 0.500
0.547 0.547 0.000
0.013 0.288 0.276
0.013 0.737 0.724
0.038 0.263 0.776
0.487 0.263 0.224
```

***

# 6
Starting from a structure optimized by DFT (GGA-PBE), the powder XRD pattern of SmPaGaAu was computed for copper Kα.
No peak broadening, texture or thermal motion is included.

The 6 most intense peaks (2θ from 15° to 90°), low angle first:
- 21.11°, I 11
- 34.81°, I 100
- 50.05°, I 18
- 62.41°, I 38
- 73.49°, I 12
- 83.96°, I 17

Atomic structure:
```
SmPaGaAu
1.0
7.289 0.000 0.000
0.000 7.289 0.000
0.000 0.000 7.289
Sm Pa Ga Au
4 4 4 4
direct
0.000 0.000 0.000
0.000 0.500 0.500
0.500 0.000 0.500
0.500 0.500 0.000
0.000 0.000 0.500
0.000 0.500 0.000
0.500 0.000 0.000
0.500 0.500 0.500
0.250 0.250 0.250
0.250 0.750 0.750
0.750 0.250 0.750
0.750 0.750 0.250
0.250 0.250 0.750
0.250 0.750 0.250
0.750 0.250 0.250
0.750 0.750 0.750
```

***

# 7
Starting from a structure optimized by DFT (GGA-PBE), the powder XRD pattern of PmEr2Si was computed for copper Kα.
No peak broadening, texture or thermal motion is included.

The 6 most intense peaks (2θ from 15° to 90°), low angle first:
- 19.10°, I 20
- 27.13°, I 17
- 33.39°, I 100
- 38.71°, I 33
- 55.96°, I 34
- 66.70°, I 27

Atomic structure:
```
PmEr2Si
1.0
4.652 0.000 0.000
0.000 4.652 0.000
0.000 0.000 4.639
Pm Er Si
1 2 1
direct
0.000 0.000 0.000
0.000 0.500 0.500
0.500 0.000 0.500
0.500 0.500 0.000
```

***

# 8
Starting from a structure optimized by DFT (GGA-PBE), the powder XRD pattern of Li4ZnCl6 was computed for copper Kα.
No peak broadening, texture or thermal motion is included.

The 6 most intense peaks (2θ from 15° to 90°), low angle first:
- 15.25°, I 68
- 24.89°, I 100
- 25.64°, I 74
- 29.03°, I 40
- 30.78°, I 48
- 44.74°, I 36

Atomic structure:
```
Li4ZnCl6
1.0
5.949 -3.607 0.000
5.949 3.607 0.000
-3.779 0.000 11.785
Li Zn Cl
8 2 12
direct
0.026 0.301 0.827
0.039 0.961 0.500
0.102 0.575 0.169
0.301 0.026 0.327
0.545 0.757 0.032
0.575 0.102 0.669
0.757 0.545 0.532
0.961 0.039 0.000
0.129 0.685 0.756
0.685 0.129 0.256
0.080 0.641 0.565
0.257 0.811 0.139
0.266 0.923 0.871
0.336 0.350 0.808
0.350 0.336 0.308
0.431 0.889 0.507
0.641 0.080 0.065
0.786 0.837 0.802
0.811 0.257 0.639
0.837 0.786 0.302
0.889 0.431 0.007
0.923 0.266 0.371
```

***

# 9
Starting from a structure optimized by DFT (GGA-PBE), the powder XRD pattern of LaTlAgPb was computed for copper Kα.
No peak broadening, texture or thermal motion is included.

The 6 most intense peaks (2θ from 15° to 90°), low angle first:
- 20.18°, I 6
- 33.25°, I 100
- 47.74°, I 18
- 59.42°, I 38
- 69.82°, I 12
- 79.56°, I 17

Atomic structure:
```
LaTlAgPb
1.0
7.620 0.000 0.000
0.000 7.620 0.000
0.000 0.000 7.620
La Tl Ag Pb
4 4 4 4
direct
0.000 0.000 0.000
0.000 0.500 0.500
0.500 0.000 0.500
0.500 0.500 0.000
0.250 0.250 0.750
0.250 0.750 0.250
0.750 0.250 0.250
0.750 0.750 0.750
0.250 0.250 0.250
0.250 0.750 0.750
0.750 0.250 0.750
0.750 0.750 0.250
0.000 0.000 0.500
0.000 0.500 0.000
0.500 0.000 0.000
0.500 0.500 0.500
```

***

# 10
Starting from a structure optimized by DFT (GGA-PBE), the powder XRD pattern of LaPIO4 was computed for copper Kα.
No peak broadening, texture or thermal motion is included.

The 6 most intense peaks (2θ from 15° to 90°), low angle first:
- 18.55°, I 37
- 21.24°, I 38
- 26.40°, I 46
- 26.99°, I 100
- 27.25°, I 70
- 28.33°, I 33

Atomic structure:
```
LaPIO4
1.0
5.820 -3.272 0.000
5.820 3.272 0.000
-1.138 0.000 6.753
La P I O
2 2 2 8
direct
0.199 0.199 0.309
0.801 0.801 0.691
0.136 0.136 0.750
0.864 0.864 0.250
0.469 0.469 0.803
0.531 0.531 0.197
0.003 0.003 0.732
0.011 0.634 0.364
0.195 0.195 0.968
0.366 0.989 0.636
0.634 0.011 0.364
0.805 0.805 0.032
0.989 0.366 0.636
0.997 0.997 0.268
```

***

# 11
Starting from a structure optimized by DFT (GGA-PBE), the powder XRD pattern of TlNiAg was computed for copper Kα.
No peak broadening, texture or thermal motion is included.

The 6 most intense peaks (2θ from 15° to 90°), low angle first:
- 28.79°, I 44
- 38.37°, I 49
- 38.53°, I 97
- 38.69°, I 48
- 39.11°, I 100
- 56.51°, I 34

Atomic structure:
```
TlNiAg
1.0
10.551 0.000 0.000
0.000 3.257 0.000
-0.981 0.000 3.106
Tl Ni Ag
2 2 2
direct
0.000 0.000 0.000
0.500 0.500 0.000
0.151 0.500 0.650
0.651 0.000 0.650
0.301 0.000 0.299
0.801 0.500 0.299
```

***

# 12
Starting from a structure optimized by DFT (GGA-PBE), the powder XRD pattern of BaReP was computed for copper Kα.
No peak broadening, texture or thermal motion is included.

The 6 most intense peaks (2θ from 15° to 90°), low angle first:
- 23.66°, I 36
- 26.34°, I 41
- 32.50°, I 58
- 36.02°, I 100
- 44.77°, I 36
- 55.49°, I 35

Atomic structure:
```
BaReP
1.0
4.048 0.000 0.000
0.000 4.048 0.000
0.000 0.000 10.150
Ba Re P
2 2 2
direct
0.250 0.250 0.207
0.750 0.750 0.793
0.250 0.750 0.500
0.750 0.250 0.500
0.250 0.250 0.629
0.750 0.750 0.371
```